This entry pairs a crystal structure of Be4SiNi with its simulated powder X-ray diffraction pattern. Radiation: a wavelength of 1.5418 Å. Structure: a structure optimized by DFT (GGA-PBE).
Lines closer than 0.1° are merged.

Cell and atoms:
```
data_Be4SiNi
_cell_length_a 5.940
_cell_length_b 5.940
_cell_length_c 5.940
_cell_angle_alpha 90.00
_cell_angle_beta 90.00
_cell_angle_gamma 90.00
_space_group_name_H-M_alt 'F -4 3 m'
_space_group_IT_number 216
_space_group_name_Hall 'F -4 2 3'
loop_
_atom_site_label
_atom_site_type_symbol
_atom_site_fract_x
_atom_site_fract_y
_atom_site_fract_z
Be1 Be 0.124 0.124 0.376
Si1 Si 0.000 0.000 0.000
Ni1 Ni 0.250 0.250 0.750
```

Top 10 peaks for 10 to 90 degrees two-theta, sorted by position:
| 2θ/deg | I/Imax |
| --- | --- |
| 25.98 | 100 |
| 30.09 | 19 |
| 43.07 | 93 |
| 50.99 | 85 |
| 53.44 | 7 |
| 62.55 | 8 |
| 68.91 | 17 |
| 70.96 | 5 |
| 78.97 | 28 |
| 84.82 | 25 |